[1]
Starting from a cell relaxed with GGA-PBE, the PXRD pattern of Ba2ThPdO5 was computed for Cu Ka.

Principal peaks in the range 2θ = 10–90°, in order of rising 2θ:
| 2theta | I/Imax |
| --- | --- |
| 23.33 | 23.4 |
| 27.18 | 51.2 |
| 30.21 | 100.0 |
| 33.17 | 36.8 |
| 38.43 | 23.7 |
| 49.96 | 27.2 |

Atomic structure:
Lattice parameters (Å, degrees): 6.6256 6.6256 6.5621 90.00 90.00 90.00
Space group P4/mbm (No. 127)
Symmetry-distinct sites (fractional):
Ba: 0.1640 0.3360 0.0000 [4 per cell]
Th: 0.0000 0.0000 0.5000 [2 per cell]
Pd: 0.0000 0.5000 0.5000 [2 per cell]
O: 0.0000 0.0000 0.0000 [2 per cell]
O: 0.1718 0.6718 0.3100 [8 per cell]

[2]
Starting from a cell relaxed with GGA-PBE, the PXRD pattern of Tb10NdY4 was computed for Cu Ka.

Principal peaks in the range 2θ = 10–90°, in order of rising 2θ:
| 2theta | I/Imax |
| --- | --- |
| 26.92 | 74.1 |
| 28.82 | 55.5 |
| 29.05 | 100.0 |
| 32.72 | 66.9 |
| 33.73 | 72.0 |
| 41.55 | 36.8 |

Atomic structure:
Lattice parameters (Å, degrees): 9.7205 9.7205 10.5671 90.00 90.00 90.00
Space group I4/m (No. 87)
Symmetry-distinct sites (fractional):
Tb: 0.0000 0.5000 0.2500 [4 per cell]
Tb: 0.1134 0.2132 0.1585 [16 per cell]
Nd: 0.0000 0.0000 0.5000 [2 per cell]
Y: 0.0667 0.3345 0.5000 [8 per cell]

[3]
Starting from a cell relaxed with GGA-PBE, the PXRD pattern of SrLiTeHOsBr was computed for Cu Ka.

Principal peaks in the range 2θ = 10–90°, in order of rising 2θ:
| 2theta | I/Imax |
| --- | --- |
| 10.66 | 100.0 |
| 21.42 | 38.7 |
| 26.32 | 44.7 |
| 28.20 | 28.2 |
| 37.04 | 23.6 |
| 41.42 | 31.0 |

Atomic structure:
Lattice parameters (Å, degrees): 4.3877 4.3951 8.6672 76.05 76.12 67.11
Space group P1 (No. 1)
Symmetry-distinct sites (fractional):
Sr: 0.0000 0.0000 0.0000 [1 per cell]
Li: 0.1707 0.1622 0.5196 [1 per cell]
Te: 0.4219 0.4278 0.7104 [1 per cell]
H: 0.0083 0.0154 0.7279 [1 per cell]
Os: 0.7866 0.7935 0.7257 [1 per cell]
Br: 0.2871 0.2876 0.2145 [1 per cell]

[4]
Starting from a cell relaxed with GGA-PBE, the PXRD pattern of CsCdTeMo was computed for Cu Ka.

Principal peaks in the range 2θ = 10–90°, in order of rising 2θ:
| 2theta | I/Imax |
| --- | --- |
| 27.54 | 24.6 |
| 32.41 | 100.0 |
| 36.71 | 59.9 |
| 39.32 | 20.6 |
| 47.58 | 44.7 |
| 63.41 | 29.2 |

Atomic structure:
Lattice parameters (Å, degrees): 3.4618 3.4618 9.1698 90.00 90.00 90.00
Space group P4mm (No. 99)
Symmetry-distinct sites (fractional):
Cs: 0.0000 0.0000 0.0000 [1 per cell]
Cd: 0.5000 0.5000 0.6716 [1 per cell]
Te: 0.5000 0.5000 0.3264 [1 per cell]
Mo: 0.0000 0.0000 0.4769 [1 per cell]

Copy entry 3 word for word.
Starting from a cell relaxed with GGA-PBE, the PXRD pattern of SrLiTeHOsBr was computed for Cu Ka.

Principal peaks in the range 2θ = 10–90°, in order of rising 2θ:
| 2theta | I/Imax |
| --- | --- |
| 10.66 | 100.0 |
| 21.42 | 38.7 |
| 26.32 | 44.7 |
| 28.20 | 28.2 |
| 37.04 | 23.6 |
| 41.42 | 31.0 |

Atomic structure:
Lattice parameters (Å, degrees): 4.3877 4.3951 8.6672 76.05 76.12 67.11
Space group P1 (No. 1)
Symmetry-distinct sites (fractional):
Sr: 0.0000 0.0000 0.0000 [1 per cell]
Li: 0.1707 0.1622 0.5196 [1 per cell]
Te: 0.4219 0.4278 0.7104 [1 per cell]
H: 0.0083 0.0154 0.7279 [1 per cell]
Os: 0.7866 0.7935 0.7257 [1 per cell]
Br: 0.2871 0.2876 0.2145 [1 per cell]

> What is the formula in the fourth record?

CsCdTeMo